Theoretical powder X-ray diffraction pattern
Compound: Hf6CuPd3
Radiation: Cu Kα
Structure: DFT lattice parameters and positions (GGA-PBE)
Lines closer than 0.1° are merged.

Atomic structure:
a b c (Å): 8.1403 5.3931 10.0873
angles (deg): 90.00 120.29 90.00
Space group P2_1/c (No. 14)
One atom of each set of equivalent atoms:
Hf: 0.0707 0.0282 0.3547 (multiplicity 4)
Hf: 0.3010 0.5229 0.4635 (multiplicity 4)
Hf: 0.3407 0.2190 0.7175 (multiplicity 4)
Cu: 0.0000 0.0000 0.0000 (multiplicity 2)
Pd: 0.2810 0.7338 0.7151 (multiplicity 4)
Pd: 0.5000 0.0000 0.5000 (multiplicity 2)

Top 10 peaks for 2θ = 10–90°, low angle first:
33.04 deg, intensity 25.9; 35.10 deg, intensity 52.0; 36.09 deg, intensity 83.5; 36.52 deg, intensity 87.5; 37.91 deg, intensity 100.0; 38.22 deg, intensity 57.8; 38.42 deg, intensity 39.5; 38.93 deg, intensity 73.4; 39.30 deg, intensity 91.3; 39.84 deg, intensity 38.3